# 1
For Lu5Sc5Si20Ir8, a structure optimized by DFT (GGA-PBE) gives the simulated powder diffraction line list in this record (Cu Kα).

Crystal structure
```
Lu5Sc5Si20Ir8
1.0
4.1502 0.0000 0.0000
0.0000 8.8247 8.8237
0.0000 -8.8247 8.8237
Lu Sc Si Ir
5 5 20 8
direct
0.0000 0.0000 0.0000
0.0000 0.1514 0.5017
0.0000 0.2110 0.2110
0.0000 0.5017 0.1514
0.0000 0.6514 0.6514
0.0000 0.4420 0.4420
0.0000 0.7097 0.9423
0.0000 0.9423 0.7097
0.5000 0.3260 0.8260
0.5000 0.8260 0.3260
0.0000 0.1746 0.8291
0.0000 0.3234 0.6751
0.0000 0.3311 0.9764
0.0000 0.4776 0.8232
0.0000 0.6751 0.3234
0.0000 0.8232 0.4776
0.0000 0.8291 0.1746
0.0000 0.9764 0.3311
0.5000 0.0270 0.1614
0.5000 0.1242 0.6622
0.5000 0.1614 0.0270
0.5000 0.2612 0.3926
0.5000 0.3926 0.2612
0.5000 0.4904 0.6244
0.5000 0.5282 0.9901
0.5000 0.6244 0.4904
0.5000 0.6622 0.1242
0.5000 0.7606 0.7606
0.5000 0.8911 0.8911
0.5000 0.9901 0.5282
0.5000 0.0708 0.3462
0.5000 0.0805 0.8458
0.5000 0.3063 0.5815
0.5000 0.3462 0.0708
0.5000 0.5715 0.8061
0.5000 0.5815 0.3063
0.5000 0.8061 0.5715
0.5000 0.8458 0.0805
```

Top 8 peaks for 15 to 90 degrees two-theta, sorted by position:
Position (°2θ)  Rel. int.
15.9  425
20.1  608
29.5  855
36.0  1000
36.7  570
43.6  372
46.0  370
46.6  328


# 2
For Lu5Si10Ir4, a structure optimized by DFT (GGA-PBE) gives the simulated powder diffraction line list in this record (Cu Kα).

Crystal structure
```
Lu5Si10Ir4
1.0
12.5466 0.0000 0.0000
0.0000 12.5466 0.0000
0.0000 0.0000 4.1991
Lu Si Ir
10 20 8
direct
0.0000 0.0000 0.0000
0.1149 0.3851 0.5000
0.1744 0.6744 0.5000
0.3256 0.1744 0.5000
0.3851 0.8851 0.5000
0.5000 0.5000 0.0000
0.6149 0.1149 0.5000
0.6744 0.8256 0.5000
0.8256 0.3256 0.5000
0.8851 0.6149 0.5000
0.0032 0.8455 0.5000
0.0658 0.5658 0.0000
0.1545 0.0032 0.5000
0.1651 0.2011 0.0000
0.2011 0.8349 0.0000
0.2989 0.3349 0.0000
0.3349 0.7011 0.0000
0.3455 0.5032 0.5000
0.4342 0.0658 0.0000
0.4968 0.3455 0.5000
0.5032 0.6545 0.5000
0.5658 0.9342 0.0000
0.6545 0.4968 0.5000
0.6651 0.2989 0.0000
0.7011 0.6651 0.0000
0.7989 0.1651 0.0000
0.8349 0.7989 0.0000
0.8455 0.9968 0.5000
0.9342 0.4342 0.0000
0.9968 0.1545 0.5000
0.0195 0.7546 0.0000
0.2454 0.0195 0.0000
0.2546 0.5195 0.0000
0.4805 0.2546 0.0000
0.5195 0.7454 0.0000
0.7454 0.4805 0.0000
0.7546 0.9805 0.0000
0.9805 0.2454 0.0000
```

Top 8 peaks for 15 to 90 degrees two-theta, sorted by position:
Position (°2θ)  Rel. int.
22.4  257
25.6  255
29.3  332
35.7  1000
36.5  452
37.2  299
40.7  245
43.1  316


# 3
For LuVIr2, a structure optimized by DFT (GGA-PBE) gives the simulated powder diffraction line list in this record (Cu Kα).

Crystal structure
```
LuVIr2
1.0
2.9895 0.0000 0.0000
0.0000 2.9895 0.0000
0.0000 0.0000 7.3162
Lu V Ir
1 1 2
direct
0.0000 0.0000 0.0000
0.0000 0.0000 0.5000
0.5000 0.5000 0.2912
0.5000 0.5000 0.7088
```

Top 8 peaks for 15 to 90 degrees two-theta, sorted by position:
Position (°2θ)  Rel. int.
32.3  259
36.9  143
38.9  1000
42.8  455
57.7  162
62.1  151
71.8  190
75.7  286


# 4
For Mg2Ir3, a structure optimized by DFT (GGA-PBE) gives the simulated powder diffraction line list in this record (Cu Kα).

Crystal structure
```
Mg2Ir3
1.0
9.3627 -2.6205 0.0000
9.3627 2.6205 0.0000
-1.0414 0.0000 8.4747
Mg Ir
10 15
direct
0.0212 0.0212 0.1814
0.2802 0.2802 0.0844
0.2908 0.2908 0.4442
0.4224 0.4224 0.0022
0.4453 0.4453 0.6165
0.5547 0.5547 0.3835
0.5776 0.5776 0.9978
0.7092 0.7092 0.5558
0.7198 0.7198 0.9156
0.9788 0.9788 0.8186
0.0000 0.0000 0.5000
0.0827 0.5814 0.7704
0.1311 0.1311 0.9719
0.1358 0.1358 0.4672
0.1753 0.6433 0.2957
0.2160 0.2160 0.7426
0.3567 0.8247 0.7043
0.4186 0.9173 0.2296
0.5814 0.0827 0.7704
0.6433 0.1753 0.2957
0.7840 0.7840 0.2574
0.8247 0.3567 0.7043
0.8642 0.8642 0.5328
0.8689 0.8689 0.0281
0.9173 0.4186 0.2296
```

Top 8 peaks for 15 to 90 degrees two-theta, sorted by position:
Position (°2θ)  Rel. int.
17.6  635
19.1  700
20.6  498
40.5  857
41.5  348
41.6  1000
42.6  661
43.9  410


# 5
For Mg2Ir, a structure optimized by DFT (GGA-PBE) gives the simulated powder diffraction line list in this record (Cu Kα).

Crystal structure
```
Mg2Ir
1.0
0.0000 5.9793 5.9793
5.9793 0.0000 5.9793
5.9793 5.9793 0.0000
Mg Ir
16 8
direct
0.0000 0.0000 0.0000
0.0000 0.0000 0.5000
0.0000 0.5000 0.0000
0.1756 0.1756 0.5744
0.1756 0.5744 0.1756
0.1756 0.5744 0.5744
0.4256 0.4256 0.8244
0.4256 0.8244 0.4256
0.4256 0.8244 0.8244
0.5000 0.0000 0.0000
0.5744 0.1756 0.1756
0.5744 0.1756 0.5744
0.5744 0.5744 0.1756
0.8244 0.4256 0.4256
0.8244 0.4256 0.8244
0.8244 0.8244 0.4256
0.1392 0.7869 0.7869
0.2131 0.2131 0.2131
0.2131 0.2131 0.8608
0.2131 0.8608 0.2131
0.7869 0.1392 0.7869
0.7869 0.7869 0.1392
0.7869 0.7869 0.7869
0.8608 0.2131 0.2131
```

Top 8 peaks for 15 to 90 degrees two-theta, sorted by position:
Position (°2θ)  Rel. int.
25.8  642
29.9  208
39.1  1000
45.5  337
54.8  226
66.3  211
72.4  248
79.8  193


# 6
For Mg2Ir, a structure optimized by DFT (GGA-PBE) gives the simulated powder diffraction line list in this record (Cu Kα).

Crystal structure
```
Mg2Ir
1.0
1.5213 -7.2329 0.0000
1.5213 7.2329 0.0000
0.0000 0.0000 4.7857
Mg Ir
4 2
direct
0.0748 0.9252 0.7500
0.3777 0.6223 0.7500
0.6223 0.3777 0.2500
0.9252 0.0748 0.2500
0.2703 0.7297 0.2500
0.7297 0.2703 0.7500
```

Top 8 peaks for 15 to 90 degrees two-theta, sorted by position:
Position (°2θ)  Rel. int.
24.6  236
35.5  544
37.3  127
37.6  271
39.8  1000
42.0  188
47.3  221
69.3  151


# 7
For Mg7Ir3, a structure optimized by DFT (GGA-PBE) gives the simulated powder diffraction line list in this record (Cu Kα).

Crystal structure
```
Mg7Ir3
1.0
-4.6265 4.6265 4.6265
4.6265 -4.6265 4.6265
4.6265 4.6265 -4.6265
Mg Ir
14 6
direct
0.0000 0.0000 0.3110
0.0000 0.0000 0.6890
0.0000 0.3110 0.0000
0.0000 0.6890 0.0000
0.2500 0.5000 0.7500
0.2500 0.7500 0.5000
0.3110 0.0000 0.0000
0.3110 0.3110 0.3110
0.5000 0.2500 0.7500
0.5000 0.7500 0.2500
0.6890 0.0000 0.0000
0.6890 0.6890 0.6890
0.7500 0.2500 0.5000
0.7500 0.5000 0.2500
0.0000 0.3524 0.3524
0.0000 0.6476 0.6476
0.3524 0.0000 0.3524
0.3524 0.3524 0.0000
0.6476 0.0000 0.6476
0.6476 0.6476 0.0000
```

Top 8 peaks for 15 to 90 degrees two-theta, sorted by position:
Position (°2θ)  Rel. int.
19.2  449
23.6  805
30.6  171
41.4  1000
46.0  165
60.0  212
75.5  278
85.2  200


# 8
For Mg13Ir3, a structure optimized by DFT (GGA-PBE) gives the simulated powder diffraction line list in this record (Cu Kα).

Crystal structure
```
Mg13Ir3
1.0
8.0983 4.6756 2.7970
-8.0983 4.6756 2.7970
0.0000 -9.3511 2.7970
Mg Ir
26 6
direct
0.0000 0.0000 0.5000
0.0000 0.5000 0.0000
0.0000 0.5000 0.5000
0.0968 0.8896 0.7783
0.1104 0.2217 0.9032
0.1183 0.7500 0.3817
0.2217 0.9032 0.1104
0.2500 0.2500 0.2500
0.2500 0.6183 0.8817
0.2783 0.3896 0.5968
0.3817 0.1183 0.7500
0.3896 0.5968 0.2783
0.4032 0.7217 0.6104
0.5000 0.0000 0.0000
0.5000 0.0000 0.5000
0.5000 0.5000 0.0000
0.5968 0.2783 0.3896
0.6104 0.4032 0.7217
0.6183 0.8817 0.2500
0.7217 0.6104 0.4032
0.7500 0.3817 0.1183
0.7500 0.7500 0.7500
0.7783 0.0968 0.8896
0.8817 0.2500 0.6183
0.8896 0.7783 0.0968
0.9032 0.1104 0.2217
0.0771 0.4229 0.2500
0.2500 0.0771 0.4229
0.4229 0.2500 0.0771
0.5771 0.7500 0.9229
0.7500 0.9229 0.5771
0.9229 0.5771 0.7500
```

Top 8 peaks for 15 to 90 degrees two-theta, sorted by position:
Position (°2θ)  Rel. int.
19.8  1000
22.0  280
22.1  423
25.2  372
38.5  802
39.1  721
40.6  274
41.8  239